Structure and simulated XRD peak list of CuCSN (a structure optimized by DFT (GGA-PBE); Cu Kα (λ = 1.5418 Å)).

Principal peaks in the range 2θ from 10° to 90°, most intense first:
hkl  2θ (°)  I (rel.)
1 0 1  27.3  100
0 0 3  16.2  74
1 1 0  47.2  37
1 0 4  34.6  36
1 0 7  47.3  25
1 1 3  50.2  24
0 0 6  32.7  15
1 1 6  58.6  14
0 1 2  28.9  11
0 2 1  55.3  11

Crystal structure
Lattice parameters (Å, degrees): 3.8534 3.8534 16.4426 90.00 90.00 120.00
Space group R3m (No. 160, hexagonal axes)
Unique sites:
Cu (0.0000, 0.0000, 0.0000) [3 per cell]
C (0.0000, 0.0000, 0.8126) [3 per cell]
S (0.0000, 0.0000, 0.7112) [3 per cell]
N (0.0000, 0.0000, 0.8839) [3 per cell]